Entry 1:
Diffraction record for ZrNiSn. The X-ray powder pattern is theoretical, not measured: it uses DFT lattice parameters and positions (PBE) and CuKα.
Neutral-atom scattering factors, no anomalous dispersion.

Structure:
```
3
Lattice="0.000 3.081 3.081 3.081 0.000 3.081 3.081 3.081 0.000" Properties=species:S:1:pos:R:3 pbc="T T T"
Zr 0.000 0.000 0.000
Ni 4.622 4.622 4.622
Sn 3.081 3.081 3.081
```

The 10 most intense peaks (2θ from 10° to 90°), in order of rising 2θ:
2θ (°)  d_spacing  Rel. int.
25.03  3.558  16
28.98  3.081  37
41.44  2.179  100
49.03  1.858  8
51.36  1.779  10
60.05  1.541  16
66.09  1.414  3
68.03  1.378  14
75.59  1.258  33
81.09  1.186  2

Entry 2:
Diffraction record for Sr3Ni. The X-ray powder pattern is theoretical, not measured: it uses DFT lattice parameters and positions (PBE) and CuKα.
Neutral-atom scattering factors, no anomalous dispersion.

Structure:
```
4
Lattice="5.248 0.000 0.000 0.000 5.248 0.000 0.000 0.000 5.248" Properties=species:S:1:pos:R:3 pbc="T T T"
Sr 0.000 0.000 2.624
Sr 0.000 2.624 0.000
Sr 2.624 0.000 0.000
Ni 2.624 2.624 2.624
```

The 10 most intense peaks (2θ from 10° to 90°), in order of rising 2θ:
2θ (°)  d_spacing  Rel. int.
16.89  5.248  1
23.98  3.711  1
29.48  3.030  100
34.17  2.624  51
49.10  1.855  35
58.31  1.582  42
61.18  1.515  12
71.97  1.312  6
79.63  1.204  17
82.13  1.174  16

Entry 3:
Diffraction record for Ta2Ni. The X-ray powder pattern is theoretical, not measured: it uses DFT lattice parameters and positions (PBE) and CuKα.
Neutral-atom scattering factors, no anomalous dispersion.

Structure:
```
6
Lattice="-3.114 3.114 2.435 3.114 -3.114 2.435 3.114 3.114 -2.435" Properties=species:S:1:pos:R:3 pbc="T T T"
Ta 4.103 0.988 0.000
Ta 0.988 2.126 0.000
Ta 2.126 0.988 2.435
Ta -0.988 2.126 2.435
Ni 0.000 0.000 1.218
Ni 0.000 0.000 3.653
```

The 10 most intense peaks (2θ from 10° to 90°), in order of rising 2θ:
2θ (°)  d_spacing  Rel. int.
36.91  2.435  15
37.18  2.418  100
42.42  2.131  13
46.08  1.970  24
47.39  1.918  15
64.59  1.443  14
66.69  1.403  18
71.98  1.312  9
75.64  1.257  14
86.48  1.125  12

Entry 4:
Diffraction record for TaNi2. The X-ray powder pattern is theoretical, not measured: it uses DFT lattice parameters and positions (PBE) and CuKα.
Neutral-atom scattering factors, no anomalous dispersion.

Structure:
```
3
Lattice="-1.585 1.585 3.946 1.585 -1.585 3.946 1.585 1.585 -3.946" Properties=species:S:1:pos:R:3 pbc="T T T"
Ta 0.000 0.000 0.000
Ni 0.000 0.000 2.634
Ni 0.000 0.000 5.259
```

The 10 most intense peaks (2θ from 10° to 90°), in order of rising 2θ:
2θ (°)  d_spacing  Rel. int.
22.53  3.946  20
30.39  2.941  38
40.23  2.241  68
44.77  2.024  100
46.60  1.949  13
58.21  1.585  23
67.08  1.395  9
76.30  1.248  40
85.62  1.134  15
86.93  1.121  7

Entry 5:
Diffraction record for Ta2Ni. The X-ray powder pattern is theoretical, not measured: it uses DFT lattice parameters and positions (PBE) and CuKα.
Neutral-atom scattering factors, no anomalous dispersion.

Structure:
```
12
Lattice="4.896 0.000 0.000 -2.448 4.240 0.000 0.000 0.000 9.393" Properties=species:S:1:pos:R:3 pbc="T T T"
Ta 0.000 0.000 0.000
Ta 0.000 0.000 4.696
Ta -0.843 1.460 2.348
Ta -1.605 2.780 7.045
Ta 1.686 0.000 2.348
Ta 0.843 1.460 7.045
Ta 3.210 0.000 7.045
Ta 1.605 2.780 2.348
Ni 0.000 2.827 0.000
Ni 0.000 2.827 4.696
Ni 2.448 1.413 0.000
Ni 2.448 1.413 4.696
```

The 10 most intense peaks (2θ from 10° to 90°), in order of rising 2θ:
2θ (°)  d_spacing  Rel. int.
18.90  4.696  19
28.36  3.147  15
37.99  2.369  83
38.33  2.348  45
41.60  2.171  100
47.12  1.929  46
62.30  1.490  20
66.11  1.413  27
71.54  1.319  20
79.08  1.211  32

Entry 6:
Diffraction record for TaNi. The X-ray powder pattern is theoretical, not measured: it uses DFT lattice parameters and positions (PBE) and CuKα.
Neutral-atom scattering factors, no anomalous dispersion.

Structure:
```
26
Lattice="2.445 1.411 17.743 -2.445 1.411 17.743 0.000 -2.823 17.743" Properties=species:S:1:pos:R:3 pbc="T T T"
Ta 0.000 0.000 0.000
Ta 0.000 0.000 4.463
Ta 0.000 0.000 9.182
Ta 0.000 0.000 11.988
Ta 0.000 0.000 14.599
Ta 0.000 0.000 17.423
Ta 0.000 0.000 22.206
Ta 0.000 0.000 31.022
Ta 0.000 0.000 35.805
Ta 0.000 0.000 38.628
Ta 0.000 0.000 41.240
Ta 0.000 0.000 44.045
Ta 0.000 0.000 48.765
Ni -1.223 -0.706 28.636
Ni 0.000 -1.387 19.822
Ni -1.201 0.693 19.822
Ni 0.000 -1.413 24.592
Ni -1.223 0.706 24.592
Ni -1.201 -0.693 33.405
Ni 0.000 0.000 26.614
Ni 1.201 0.693 19.822
Ni 1.223 -0.706 28.636
Ni 0.000 1.413 28.636
Ni 1.201 -0.693 33.405
Ni 0.000 1.387 33.405
Ni 1.223 0.706 24.592
```

The 10 most intense peaks (2θ from 10° to 90°), in order of rising 2θ:
2θ (°)  d_spacing  Rel. int.
36.76  2.445  100
40.01  2.253  52
42.21  2.141  83
42.85  2.110  19
43.06  2.101  44
68.40  1.372  21
69.94  1.345  19
70.56  1.335  20
75.09  1.265  19
78.20  1.222  24

Entry 7:
Diffraction record for Ta5Ni. The X-ray powder pattern is theoretical, not measured: it uses DFT lattice parameters and positions (PBE) and CuKα.
Neutral-atom scattering factors, no anomalous dispersion.

Structure:
```
24
Lattice="0.000 5.945 5.945 5.945 0.000 5.945 5.945 5.945 0.000" Properties=species:S:1:pos:R:3 pbc="T T T"
Ta 9.379 5.485 5.485
Ta 4.459 4.459 2.238
Ta 4.459 2.238 4.459
Ta 6.680 4.459 4.459
Ta 2.512 2.512 2.512
Ta 6.406 6.406 2.512
Ta 6.406 2.512 6.406
Ta 7.432 7.432 5.211
Ta 7.432 5.211 7.432
Ta 9.653 7.432 7.432
Ta 2.238 4.459 4.459
Ta 4.459 6.680 4.459
Ta 4.459 4.459 6.680
Ta 5.485 9.379 5.485
Ta 5.485 5.485 9.379
Ta 9.379 9.379 9.379
Ta 5.211 7.432 7.432
Ta 7.432 9.653 7.432
Ta 7.432 7.432 9.653
Ta 2.512 6.406 6.406
Ni 0.000 0.000 0.000
Ni 2.973 2.973 0.000
Ni 2.973 0.000 2.973
Ni 0.000 2.973 2.973
```

The 10 most intense peaks (2θ from 10° to 90°), in order of rising 2θ:
2θ (°)  d_spacing  Rel. int.
25.96  3.433  11
37.04  2.427  34
39.37  2.288  100
43.03  2.102  16
45.78  1.982  10
55.16  1.665  7
59.73  1.548  7
66.75  1.401  37
68.32  1.373  8
80.34  1.195  20

Entry 8:
Diffraction record for TaNiTe2. The X-ray powder pattern is theoretical, not measured: it uses DFT lattice parameters and positions (PBE) and CuKα.
Neutral-atom scattering factors, no anomalous dispersion.

Structure:
```
16
Lattice="7.977 0.000 0.000 0.000 7.533 0.000 0.000 0.000 6.264" Properties=species:S:1:pos:R:3 pbc="T T T"
Ta 1.644 0.000 0.000
Ta 2.344 0.000 3.132
Ta 5.633 0.000 3.132
Ta 6.332 0.000 0.000
Ni 0.000 0.863 2.227
Ni 0.000 6.670 4.038
Ni 3.988 0.863 0.905
Ni 3.988 6.670 5.359
Te 0.000 1.656 4.716
Te 0.000 5.877 1.548
Te 1.994 2.346 1.566
Te 1.994 5.187 4.698
Te 3.988 1.656 4.680
Te 3.988 5.877 1.584
Te 5.982 2.346 1.566
Te 5.982 5.187 4.698
```

The 10 most intense peaks (2θ from 10° to 90°), in order of rising 2θ:
2θ (°)  d_spacing  Rel. int.
11.75  7.533  100
29.07  3.072  48
30.92  2.892  18
37.34  2.408  43
38.45  2.341  30
38.67  2.328  17
42.54  2.125  28
45.05  2.012  14
45.49  1.994  13
50.82  1.796  16

Entry 9:
Diffraction record for TaTiNi6. The X-ray powder pattern is theoretical, not measured: it uses DFT lattice parameters and positions (PBE) and CuKα.
Neutral-atom scattering factors, no anomalous dispersion.

Structure:
```
8
Lattice="5.126 0.000 0.000 -2.563 4.439 0.000 0.000 0.000 4.229" Properties=species:S:1:pos:R:3 pbc="T T T"
Ta 0.000 0.000 0.000
Ti 2.563 1.480 2.115
Ni -1.258 2.233 0.000
Ni 0.000 1.520 2.115
Ni -1.246 3.679 2.115
Ni 1.258 2.233 0.000
Ni 0.000 4.412 0.000
Ni 1.246 3.679 2.115
```

The 10 most intense peaks (2θ from 10° to 90°), in order of rising 2θ:
2θ (°)  d_spacing  Rel. int.
20.00  4.439  21
29.16  3.062  15
40.65  2.220  27
41.18  2.192  9
42.76  2.115  28
46.19  1.965  100
60.47  1.531  16
73.97  1.281  15
80.76  1.190  18
89.41  1.096  18

Entry 10:
Diffraction record for TbNi3. The X-ray powder pattern is theoretical, not measured: it uses DFT lattice parameters and positions (PBE) and CuKα.
Neutral-atom scattering factors, no anomalous dispersion.

Structure:
```
12
Lattice="2.478 1.431 8.114 -2.478 1.431 8.114 0.000 -2.862 8.114" Properties=species:S:1:pos:R:3 pbc="T T T"
Tb 0.000 0.000 0.000
Tb 0.000 0.000 3.380
Tb 0.000 0.000 20.964
Ni -1.246 -0.719 10.106
Ni 0.000 0.000 8.105
Ni 0.000 -1.439 14.237
Ni -1.246 0.719 14.237
Ni 0.000 0.000 12.172
Ni 1.246 -0.719 10.106
Ni 0.000 1.439 10.106
Ni 0.000 0.000 16.239
Ni 1.246 0.719 14.237
```

The 10 most intense peaks (2θ from 10° to 90°), in order of rising 2θ:
2θ (°)  d_spacing  Rel. int.
33.15  2.702  48
36.22  2.480  88
42.27  2.138  36
42.76  2.115  100
46.19  1.965  27
63.24  1.470  14
65.18  1.431  22
69.58  1.351  13
69.68  1.349  20
76.94  1.239  20

Entry 11:
Diffraction record for Tb3Ni. The X-ray powder pattern is theoretical, not measured: it uses DFT lattice parameters and positions (PBE) and CuKα.
Neutral-atom scattering factors, no anomalous dispersion.

Structure:
```
16
Lattice="6.853 0.000 0.000 0.000 9.628 0.000 0.000 0.000 6.336" Properties=species:S:1:pos:R:3 pbc="T T T"
Tb 0.250 2.407 0.909
Tb 1.226 0.638 4.286
Tb 1.226 4.176 4.286
Tb 2.200 5.452 1.118
Tb 2.200 8.990 1.118
Tb 3.176 7.221 4.077
Tb 3.677 2.407 2.259
Tb 4.653 0.638 5.218
Tb 4.653 4.176 5.218
Tb 5.627 5.452 2.050
Tb 5.627 8.990 2.050
Tb 6.603 7.221 5.427
Ni 0.754 7.221 2.797
Ni 2.673 2.407 5.965
Ni 4.180 7.221 0.371
Ni 6.100 2.407 3.539
```

The 10 most intense peaks (2θ from 10° to 90°), in order of rising 2θ:
2θ (°)  d_spacing  Rel. int.
31.10  2.876  88
31.24  2.863  100
32.06  2.792  57
32.50  2.755  69
33.92  2.643  51
35.13  2.555  55
38.43  2.342  22
48.94  1.861  27
53.65  1.708  25
57.43  1.605  46

Entry 12:
Diffraction record for TbNi2. The X-ray powder pattern is theoretical, not measured: it uses DFT lattice parameters and positions (PBE) and CuKα.
Neutral-atom scattering factors, no anomalous dispersion.

Structure:
```
6
Lattice="0.000 3.584 3.584 3.584 0.000 3.584 3.584 3.584 0.000" Properties=species:S:1:pos:R:3 pbc="T T T"
Tb 0.896 0.896 0.896
Tb 6.272 6.272 6.272
Ni 3.584 1.792 1.792
Ni 1.792 3.584 1.792
Ni 1.792 1.792 3.584
Ni 3.584 3.584 3.584
```

The 10 most intense peaks (2θ from 10° to 90°), in order of rising 2θ:
2θ (°)  d_spacing  Rel. int.
21.47  4.139  12
35.42  2.534  63
41.79  2.161  100
43.75  2.069  16
55.91  1.645  3
63.59  1.463  23
67.95  1.380  30
74.94  1.267  22
85.71  1.133  10
89.69  1.093  11